[1]
Starting from a crystal structure in the Materials Project, relaxed with PBE, the powder diffraction line list of Er2Si5Rh3 was calculated for Cu Kα.
Kinematic intensities with the Lorentz-polarization factor, no thermal factor.

Most intense lines, 10 to 90 degrees two-theta, by intensity:
- d = 2.565 Å, 2θ 35.0, intensity 100
- d = 2.035 Å, 2θ 44.5, intensity 57
- d = 2.485 Å, 2θ 36.1, intensity 43
- d = 2.492 Å, 2θ 36.0, intensity 41
- d = 3.764 Å, 2θ 23.6, intensity 26
- d = 1.592 Å, 2θ 57.9, intensity 22
- d = 2.873 Å, 2θ 31.1, intensity 22
- d = 1.782 Å, 2θ 51.3, intensity 22
- d = 2.884 Å, 2θ 31.0, intensity 21
- d = 1.596 Å, 2θ 57.8, intensity 20

Lattice parameters (Å, degrees): 8.129 8.129 8.129 104.86 89.61 138.61
Fractional coordinates of all 20 atoms:
1 Er 0.132 0.232 0.364
2 Er 0.368 0.732 0.101
3 Er 0.632 0.268 0.899
4 Er 0.868 0.768 0.636
5 Si 0.027 0.750 0.277
6 Si 0.106 0.656 0.763
7 Si 0.250 0.250 0.000
8 Si 0.394 0.156 0.550
9 Si 0.473 0.750 0.723
10 Si 0.527 0.250 0.277
11 Si 0.606 0.844 0.450
12 Si 0.750 0.750 0.000
13 Si 0.894 0.344 0.237
14 Si 0.973 0.250 0.723
15 Rh 0.139 0.889 0.029
16 Rh 0.250 0.750 0.500
17 Rh 0.361 0.389 0.750
18 Rh 0.639 0.611 0.250
19 Rh 0.750 0.250 0.500
20 Rh 0.861 0.111 0.971

***

[2]
Starting from a crystal structure in the Materials Project, relaxed with PBE, the powder diffraction line list of ErSnRh2 was calculated for Cu Kα.
Kinematic intensities with the Lorentz-polarization factor, no thermal factor.

Most intense lines, 10 to 90 degrees two-theta, by intensity:
- d = 2.344 Å, 2θ 38.4, intensity 100
- d = 1.353 Å, 2θ 69.4, intensity 35
- d = 1.658 Å, 2θ 55.4, intensity 17
- d = 1.172 Å, 2θ 82.2, intensity 11
- d = 3.315 Å, 2θ 26.9, intensity 3
- d = 3.828 Å, 2θ 23.2, intensity 2
- d = 1.483 Å, 2θ 62.7, intensity 1
- d = 1.999 Å, 2θ 45.4, intensity 1
- d = 1.914 Å, 2θ 47.5, intensity 1
- d = 1.105 Å, 2θ 88.5, intensity 1

Lattice parameters (Å, degrees): 6.631 6.631 6.631 90.00 90.00 90.00
Fractional coordinates of all 16 atoms:
1 Er 0.000 0.000 0.000
2 Er 0.000 0.500 0.500
3 Er 0.500 0.000 0.500
4 Er 0.500 0.500 0.000
5 Sn 0.000 0.000 0.500
6 Sn 0.000 0.500 0.000
7 Sn 0.500 0.000 0.000
8 Sn 0.500 0.500 0.500
9 Rh 0.250 0.250 0.250
10 Rh 0.250 0.250 0.750
11 Rh 0.250 0.750 0.250
12 Rh 0.250 0.750 0.750
13 Rh 0.750 0.250 0.250
14 Rh 0.750 0.250 0.750
15 Rh 0.750 0.750 0.250
16 Rh 0.750 0.750 0.750

***

[3]
Starting from a crystal structure in the Materials Project, relaxed with PBE, the powder diffraction line list of ErSnRh was calculated for Cu Kα.
Kinematic intensities with the Lorentz-polarization factor, no thermal factor.

Most intense lines, 10 to 90 degrees two-theta, by intensity:
- d = 2.669 Å, 2θ 33.6, intensity 100
- d = 2.474 Å, 2θ 36.3, intensity 75
- d = 2.494 Å, 2θ 36.0, intensity 43
- d = 2.199 Å, 2θ 41.0, intensity 41
- d = 1.403 Å, 2θ 66.7, intensity 31
- d = 1.425 Å, 2θ 65.5, intensity 21
- d = 1.871 Å, 2θ 48.7, intensity 20
- d = 1.496 Å, 2θ 62.0, intensity 18
- d = 2.075 Å, 2θ 43.6, intensity 18
- d = 1.644 Å, 2θ 55.9, intensity 15

Lattice parameters (Å, degrees): 7.619 7.619 3.741 90.00 90.00 120.00
Fractional coordinates of all 9 atoms:
1 Er 0.000 0.597 0.000
2 Er 0.403 0.403 0.000
3 Er 0.597 0.000 0.000
4 Sn 0.000 0.265 0.500
5 Sn 0.265 0.000 0.500
6 Sn 0.735 0.735 0.500
7 Rh 0.000 0.000 0.000
8 Rh 0.333 0.667 0.500
9 Rh 0.667 0.333 0.500

***

[4]
Starting from a crystal structure in the Materials Project, relaxed with PBE, the powder diffraction line list of Er5Sn18Rh6 was calculated for Cu Kα.
Kinematic intensities with the Lorentz-polarization factor, no thermal factor.

Most intense lines, 10 to 90 degrees two-theta, by intensity:
- d = 2.688 Å, 2θ 33.3, intensity 100
- d = 2.469 Å, 2θ 36.4, intensity 41
- d = 2.106 Å, 2θ 42.9, intensity 32
- d = 1.646 Å, 2θ 55.8, intensity 30
- d = 1.426 Å, 2θ 65.5, intensity 21
- d = 2.851 Å, 2θ 31.4, intensity 18
- d = 2.361 Å, 2θ 38.1, intensity 18
- d = 2.328 Å, 2θ 38.7, intensity 17
- d = 1.404 Å, 2θ 66.6, intensity 14
- d = 1.181 Å, 2θ 81.5, intensity 11

Lattice parameters (Å, degrees): 9.878 9.878 9.878 60.00 60.00 60.00
Fractional coordinates of all 29 atoms:
1 Er 0.000 0.000 0.000
2 Er 0.110 0.630 0.630
3 Er 0.630 0.110 0.630
4 Er 0.630 0.630 0.110
5 Er 0.630 0.630 0.630
6 Sn 0.009 0.009 0.341
7 Sn 0.009 0.009 0.641
8 Sn 0.009 0.341 0.009
9 Sn 0.009 0.341 0.641
10 Sn 0.009 0.641 0.009
11 Sn 0.009 0.641 0.341
12 Sn 0.250 0.250 0.250
13 Sn 0.341 0.009 0.009
14 Sn 0.341 0.009 0.641
15 Sn 0.341 0.641 0.009
16 Sn 0.412 0.412 0.412
17 Sn 0.412 0.412 0.764
18 Sn 0.412 0.764 0.412
19 Sn 0.641 0.009 0.009
20 Sn 0.641 0.009 0.341
21 Sn 0.641 0.341 0.009
22 Sn 0.750 0.750 0.750
23 Sn 0.764 0.412 0.412
24 Rh 0.255 0.255 0.745
25 Rh 0.255 0.745 0.255
26 Rh 0.255 0.745 0.745
27 Rh 0.745 0.255 0.255
28 Rh 0.745 0.255 0.745
29 Rh 0.745 0.745 0.255

***

[5]
Starting from a crystal structure in the Materials Project, relaxed with PBE, the powder diffraction line list of TbErRh2 was calculated for Cu Kα.
Kinematic intensities with the Lorentz-polarization factor, no thermal factor.

Most intense lines, 10 to 90 degrees two-theta, by intensity:
- d = 2.422 Å, 2θ 37.1, intensity 100
- d = 1.398 Å, 2θ 66.9, intensity 35
- d = 1.712 Å, 2θ 53.5, intensity 17
- d = 1.211 Å, 2θ 79.1, intensity 11
- d = 3.425 Å, 2θ 26.0, intensity 5
- d = 1.532 Å, 2θ 60.4, intensity 2
- d = 1.977 Å, 2θ 45.9, intensity 2
- d = 1.142 Å, 2θ 85.0, intensity 1

Lattice parameters (Å, degrees): 6.850 6.850 6.850 90.00 90.00 90.00
Fractional coordinates of all 16 atoms:
1 Tb 0.000 0.000 0.000
2 Tb 0.000 0.500 0.500
3 Tb 0.500 0.000 0.500
4 Tb 0.500 0.500 0.000
5 Er 0.000 0.000 0.500
6 Er 0.000 0.500 0.000
7 Er 0.500 0.000 0.000
8 Er 0.500 0.500 0.500
9 Rh 0.250 0.250 0.250
10 Rh 0.250 0.250 0.750
11 Rh 0.250 0.750 0.250
12 Rh 0.250 0.750 0.750
13 Rh 0.750 0.250 0.250
14 Rh 0.750 0.250 0.750
15 Rh 0.750 0.750 0.250
16 Rh 0.750 0.750 0.750

***

[6]
Starting from a crystal structure in the Materials Project, relaxed with PBE, the powder diffraction line list of Er7Te2Rh2 was calculated for Cu Kα.
Kinematic intensities with the Lorentz-polarization factor, no thermal factor.

Most intense lines, 10 to 90 degrees two-theta, by intensity:
- d = 2.649 Å, 2θ 33.8, intensity 100
- d = 2.702 Å, 2θ 33.2, intensity 63
- d = 2.604 Å, 2θ 34.4, intensity 47
- d = 2.951 Å, 2θ 30.3, intensity 46
- d = 1.578 Å, 2θ 58.5, intensity 29
- d = 1.943 Å, 2θ 46.7, intensity 28
- d = 2.451 Å, 2θ 36.7, intensity 22
- d = 2.976 Å, 2θ 30.0, intensity 21
- d = 2.339 Å, 2θ 38.5, intensity 20
- d = 3.118 Å, 2θ 28.6, intensity 18

Lattice parameters (Å, degrees): 9.360 9.360 9.360 156.03 66.31 119.21
Fractional coordinates of all 11 atoms:
1 Er 0.000 0.000 0.000
2 Er 0.284 0.416 0.868
3 Er 0.309 0.625 0.684
4 Er 0.547 0.416 0.132
5 Er 0.621 0.267 0.354
6 Er 0.913 0.267 0.646
7 Er 0.941 0.625 0.316
8 Te 0.265 0.765 0.500
9 Te 0.662 0.662 0.000
10 Rh 0.166 0.928 0.238
11 Rh 0.691 0.928 0.762